No. 1
The following is a computed powder diffraction line list of MnOF. It was derived from DFT lattice parameters and positions (PBE+U), using a wavelength of 1.5418 Å.
Neutral-atom scattering factors, no anomalous dispersion.

Crystal structure
abc: 5.459 3.725 8.936
angles: 90.00 90.00 90.00
Atoms (fractional coordinates):
Mn 0.133 0.250 0.095
Mn 0.367 0.750 0.595
Mn 0.633 0.250 0.405
Mn 0.867 0.750 0.905
O 0.139 0.750 0.041
O 0.361 0.250 0.541
O 0.639 0.750 0.459
O 0.861 0.250 0.959
F 0.067 0.750 0.704
F 0.433 0.250 0.204
F 0.567 0.750 0.796
F 0.933 0.250 0.296

The 6 most intense peaks (10 to 80 degrees two-theta), by intensity:
two_theta	d (Å)	I/Imax
19.1	4.659	100.0
25.8	3.458	86.6
25.9	3.438	74.5
45.0	2.012	38.8
30.7	2.909	25.1
48.9	1.862	21.9

***

No. 2
The following is a computed powder diffraction line list of CaNiP2WO9. It was derived from DFT lattice parameters and positions (PBE+U), using a wavelength of 1.5418 Å.
Neutral-atom scattering factors, no anomalous dispersion.

Crystal structure
abc: 14.427 6.623 7.655
angles: 90.00 90.00 90.00
Atoms (fractional coordinates):
Ca 0.215 0.250 0.095
Ca 0.285 0.750 0.595
Ca 0.715 0.250 0.405
Ca 0.785 0.750 0.905
Ni 0.000 0.000 0.000
Ni 0.000 0.500 0.000
Ni 0.500 0.000 0.500
Ni 0.500 0.500 0.500
P 0.067 0.750 0.654
P 0.188 0.750 0.115
P 0.312 0.250 0.615
P 0.433 0.250 0.154
P 0.567 0.750 0.846
P 0.688 0.750 0.385
P 0.812 0.250 0.885
P 0.933 0.250 0.346
W 0.118 0.250 0.649
W 0.382 0.750 0.149
W 0.618 0.250 0.851
W 0.882 0.750 0.351
O 0.008 0.250 0.488
O 0.020 0.750 0.834
O 0.059 0.250 0.873
O 0.132 0.555 0.108
O 0.132 0.945 0.108
O 0.134 0.568 0.633
O 0.134 0.932 0.633
O 0.233 0.250 0.469
O 0.249 0.250 0.785
O 0.251 0.750 0.285
O 0.267 0.750 0.969
O 0.366 0.068 0.133
O 0.366 0.432 0.133
O 0.368 0.055 0.608
O 0.368 0.445 0.608
O 0.441 0.750 0.373
O 0.480 0.250 0.334
O 0.492 0.750 0.988
O 0.508 0.250 0.012
O 0.520 0.750 0.666
O 0.559 0.250 0.627
O 0.632 0.555 0.392
O 0.632 0.945 0.392
O 0.634 0.568 0.867
O 0.634 0.932 0.867
O 0.733 0.250 0.031
O 0.749 0.250 0.715
O 0.751 0.750 0.215
O 0.767 0.750 0.531
O 0.866 0.068 0.367
O 0.866 0.432 0.367
O 0.868 0.055 0.892
O 0.868 0.445 0.892
O 0.941 0.750 0.127
O 0.980 0.250 0.166
O 0.992 0.750 0.512

The 6 most intense peaks (10 to 80 degrees two-theta), by intensity:
two_theta	d (Å)	I/Imax
16.9	5.250	100.0
24.1	3.700	93.9
18.2	4.879	63.9
17.7	5.009	54.4
26.9	3.312	46.1
30.5	2.927	45.3

***

No. 3
The following is a computed powder diffraction line list of Lu2V2O7. It was derived from DFT lattice parameters and positions (PBE+U), using a wavelength of 1.5418 Å.
Neutral-atom scattering factors, no anomalous dispersion.

Crystal structure
abc: 7.064 7.064 7.064
angles: 60.00 60.00 60.00
Atoms (fractional coordinates):
Lu 0.000 0.000 0.000
Lu 0.000 0.000 0.500
Lu 0.000 0.500 0.000
Lu 0.500 0.000 0.000
V 0.000 0.500 0.500
V 0.500 0.000 0.500
V 0.500 0.500 0.000
V 0.500 0.500 0.500
O 0.125 0.125 0.125
O 0.165 0.165 0.585
O 0.165 0.585 0.165
O 0.165 0.585 0.585
O 0.415 0.415 0.835
O 0.415 0.835 0.415
O 0.415 0.835 0.835
O 0.585 0.165 0.165
O 0.585 0.165 0.585
O 0.585 0.585 0.165
O 0.835 0.415 0.415
O 0.835 0.415 0.835
O 0.835 0.835 0.415
O 0.875 0.875 0.875

The 6 most intense peaks (10 to 80 degrees two-theta), by intensity:
two_theta	d (Å)	I/Imax
31.0	2.884	100.0
51.8	1.766	47.6
61.6	1.506	41.2
15.4	5.768	33.9
36.0	2.497	30.2
39.3	2.292	20.4